Starting from a DFT-relaxed cell (PBE+U, the Materials Project), the XRD peak list of Li3CrP2O8 was computed for Cu Kα, 1.54184 Å.
Intensities are scaled so that the largest is 100.

Atomic structure:
```
data_Li3CrP2O8
_chemical_formula_sum 'Li12 Cr4 P8 O32'
_cell_length_a 4.9318
_cell_length_b 17.7459
_cell_length_c 7.8527
_cell_angle_alpha 90.00
_cell_angle_beta 125.71
_cell_angle_gamma 90.00
_symmetry_space_group_name_H-M 'P 1 21/c 1'
_symmetry_Int_Tables_number 14
loop_
_symmetry_equiv_pos_as_xyz
'x,y,z'
'-x,-y,-z'
'-x,y+1/2,-z+1/2'
'x,-y+1/2,z+1/2'
loop_
_atom_site_label
_atom_site_type_symbol
_atom_site_fract_x
_atom_site_fract_y
_atom_site_fract_z
_atom_site_occupancy
Li1 Li 0.0116 0.0558 0.2858 1
Li2 Li 0.2783 0.6169 0.9980 1
Li3 Li 0.3766 0.1985 0.6888 1
Cr1 Cr 0.1839 0.1276 0.9847 1
P1 P 0.1132 0.7151 0.2882 1
P2 P 0.4955 0.0355 0.7739 1
O1 O 0.0379 0.6718 0.0979 1
O2 O 0.1407 0.6975 0.7625 1
O3 O 0.1663 0.1992 0.1795 1
O4 O 0.1746 0.5671 0.5300 1
O5 O 0.1898 0.0600 0.7765 1
O6 O 0.4391 0.0640 0.5736 1
O7 O 0.4610 0.6928 0.4897 1
O8 O 0.4940 0.5533 0.2783 1
```

Peak list (6 most intense, 10 to 80 degrees two-theta, low angle first)
14.76 deg, I 84, hkl 0 1 1
20.48 deg, I 29, hkl 0 3 1
24.41 deg, I 100, hkl 1 2 0
25.51 deg, I 50, hkl 1 2 -2
34.64 deg, I 67, hkl 0 4 2
35.40 deg, I 50, hkl 1 6 -1